[1]
For YMg6Nb, the GGA-PBE geometry in the Materials Project gives the simulated PXRD pattern in this record (Cu Kα X-rays).
Peak positions follow from Bragg's law for the DFT cell and can differ from measured ones.

The 10 most intense peaks (2θ from 10° to 90°), by angle:
d/Å, two_theta, I/Imax
5.603, 15.82, 43.4
5.149, 17.22, 33.3
3.791, 23.46, 30.3
2.788, 32.11, 32.7
2.575, 34.85, 36.4
2.461, 36.51, 48.9
2.452, 36.66, 100.0
1.891, 48.11, 20.4
1.462, 63.64, 27.9
1.368, 68.60, 18.4

Structural model:
Lattice parameters (Å, degrees): 5.1490 6.4274 11.2075 90.00 90.00 90.00
Space group Amm2 (No. 38)
Symmetry-distinct sites (fractional):
Y1 0.0000 0.0000 0.0000 x2
Mg1 0.0000 0.2482 0.2527 x4
Mg2 0.5000 0.0000 0.1711 x2
Mg3 0.5000 0.0000 0.6604 x2
Mg4 0.5000 0.2344 0.4226 x4
Nb1 0.0000 0.0000 0.4999 x2

---

[2]
For BaAlCuSbO5, the GGA-PBE geometry in the Materials Project gives the simulated PXRD pattern in this record (Cu Kα X-rays).
Peak positions follow from Bragg's law for the DFT cell and can differ from measured ones.

The 10 most intense peaks (2θ from 10° to 90°), by angle:
d/Å, two_theta, I/Imax
8.722, 10.14, 52.9
4.361, 20.37, 28.4
3.672, 24.24, 82.9
2.967, 30.12, 100.0
2.907, 30.76, 39.4
2.863, 31.24, 71.2
2.361, 38.11, 35.3
2.024, 44.77, 53.1
1.672, 54.91, 37.0
1.661, 55.30, 26.5

Structural model:
Lattice parameters (Å, degrees): 4.0487 4.0487 8.7215 90.00 90.00 90.00
Space group P4mm (No. 99)
Symmetry-distinct sites (fractional):
Ba1 0.0000 0.0000 0.0000 x1
Al1 0.0000 0.0000 0.4302 x1
Cu1 0.5000 0.5000 0.4011 x1
Sb1 0.5000 0.5000 0.7620 x1
O1 0.0000 0.5000 0.4027 x2
O2 0.0000 0.5000 0.7643 x2
O3 0.5000 0.5000 0.9939 x1